(1)
The following is a calculated X-ray diffraction stick pattern of U3AsS2. It was derived from a crystal structure in Alexandria, relaxed with PBE, using a wavelength of 1.5418 Å.

Peak list (10 most intense, 10° ≤ 2θ ≤ 90°, by angle)
| two_theta | d/Å | Rel. int. |
| --- | --- | --- |
| 29.22 | 3.056 | 82 |
| 30.06 | 2.973 | 55 |
| 30.23 | 2.956 | 78 |
| 31.41 | 2.848 | 70 |
| 35.18 | 2.551 | 100 |
| 36.15 | 2.484 | 35 |
| 44.66 | 2.029 | 38 |
| 45.37 | 1.999 | 48 |
| 53.95 | 1.699 | 38 |
| 65.55 | 1.424 | 33 |

Cell and atoms:
```
U3AsS2
1.0
2.029 -6.551 0.000
2.029 6.551 0.000
0.000 0.000 9.938
U As S
6 2 4
direct
0.092 0.908 0.750 U
0.345 0.655 0.542 U
0.345 0.655 0.958 U
0.655 0.345 0.042 U
0.655 0.345 0.458 U
0.908 0.092 0.250 U
0.248 0.752 0.250 As
0.752 0.248 0.750 As
0.000 0.000 0.000 S
0.000 0.000 0.500 S
0.467 0.533 0.750 S
0.533 0.467 0.250 S
```

=====

(2)
The following is a calculated X-ray diffraction stick pattern of BaNaZn2Au2. It was derived from a crystal structure in Alexandria, relaxed with PBE, using a wavelength of 1.5418 Å.

Peak list (10 most intense, 10° ≤ 2θ ≤ 90°, by angle)
| two_theta | d/Å | Rel. int. |
| --- | --- | --- |
| 24.86 | 3.581 | 100 |
| 32.49 | 2.755 | 83 |
| 36.06 | 2.491 | 24 |
| 38.20 | 2.356 | 93 |
| 46.12 | 1.968 | 20 |
| 51.00 | 1.791 | 23 |
| 53.54 | 1.711 | 46 |
| 61.38 | 1.510 | 17 |
| 65.48 | 1.426 | 22 |
| 69.06 | 1.360 | 16 |

Cell and atoms:
```
BaNaZn2Au2
1.0
4.712 0.000 0.000
-2.356 4.080 0.000
0.000 0.000 7.472
Ba Na Zn Au
1 1 2 2
direct
0.000 0.000 0.000 Ba
0.000 0.000 0.500 Na
0.333 0.667 0.324 Zn
0.667 0.333 0.676 Zn
0.333 0.667 0.701 Au
0.667 0.333 0.299 Au
```

=====

(3)
The following is a calculated X-ray diffraction stick pattern of RbLa3Te4. It was derived from a crystal structure in Alexandria, relaxed with PBE, using a wavelength of 1.5418 Å.

Peak list (10 most intense, 10° ≤ 2θ ≤ 90°, by angle)
| two_theta | d/Å | Rel. int. |
| --- | --- | --- |
| 26.13 | 3.411 | 60 |
| 27.74 | 3.216 | 100 |
| 29.54 | 3.024 | 21 |
| 38.12 | 2.361 | 32 |
| 38.72 | 2.325 | 68 |
| 40.52 | 2.226 | 27 |
| 48.30 | 1.884 | 22 |
| 61.05 | 1.518 | 12 |
| 63.55 | 1.464 | 19 |
| 66.08 | 1.414 | 16 |

Cell and atoms:
```
RbLa3Te4
1.0
4.651 0.000 0.000
-2.325 4.028 0.000
0.000 0.000 32.057
Rb La Te
2 6 8
direct
0.333 0.667 0.250 Rb
0.667 0.333 0.750 Rb
0.000 0.000 0.000 La
0.000 0.000 0.500 La
0.333 0.667 0.615 La
0.333 0.667 0.885 La
0.667 0.333 0.115 La
0.667 0.333 0.385 La
0.000 0.000 0.171 Te
0.000 0.000 0.329 Te
0.000 0.000 0.671 Te
0.000 0.000 0.829 Te
0.333 0.667 0.058 Te
0.333 0.667 0.442 Te
0.667 0.333 0.558 Te
0.667 0.333 0.942 Te
```